Record 1
Structure and theoretical powder X-ray diffraction pattern of NbFe (a DFT-relaxed cell (GGA-PBE, the Materials Project); a wavelength of 1.5418 Å).
Peak positions follow from Bragg's law for the DFT cell and can differ from measured ones.

Structure:
Cell lengths 4.9263, 4.9263, 53.7455 Å; angles 90.00, 90.00, 120.00 degrees
Space group R-3m (No. 166, hexagonal axes)
Inequivalent atoms, fractional coordinates:
Nb  0.0000  0.0000  0.0000 (multiplicity 3)
Nb  0.0000  0.0000  0.0845 (multiplicity 6)
Nb  0.0000  0.0000  0.1739 (multiplicity 6)
Nb  0.0000  0.0000  0.2245 (multiplicity 6)
Nb  0.0000  0.0000  0.2735 (multiplicity 6)
Nb  0.0000  0.0000  0.3256 (multiplicity 6)
Nb  0.0000  0.0000  0.4177 (multiplicity 6)
Fe  0.0000  0.0000  0.5000 (multiplicity 3)
Fe  0.9999  0.5000  0.2035 (multiplicity 18)
Fe  0.0077  0.5038  0.2938 (multiplicity 18)

Peak list (12 most intense, 2θ = 10–90°, by angle)
two_theta  I (rel.)  (hkl)
36.48  88  1 1 0
39.64  61  0 1 20
40.27  18  0 0 24
41.86  100  1 1 12
42.51  35  2 0 2
42.65  63  1 0 22
44.57  19  2 0 8
45.76  38  0 2 10
67.77  22  1 2 20
69.33  21  3 0 12
69.90  28  2 1 22
77.51  31  2 2 0


Record 2
Structure and theoretical powder X-ray diffraction pattern of Tm2Ga9Rh3 (a DFT-relaxed cell (GGA-PBE, the Materials Project); a wavelength of 1.5418 Å).
Peak positions follow from Bragg's law for the DFT cell and can differ from measured ones.

Structure:
Cell lengths 13.0839, 7.5650, 9.5108 Å; angles 90.00, 90.00, 90.00 degrees
Space group Cmcm (No. 63)
Inequivalent atoms, fractional coordinates:
Tm  0.1646  0.1678  0.2500 (multiplicity 8)
Ga  0.0000  0.1243  0.7500 (multiplicity 4)
Ga  0.0000  0.3330  0.0636 (multiplicity 8)
Ga  0.1050  0.4428  0.7500 (multiplicity 8)
Ga  0.1672  0.1668  0.5788 (multiplicity 16)
Rh  0.0000  0.0000  0.0000 (multiplicity 4)
Rh  0.1717  0.5000  0.0000 (multiplicity 8)

Peak list (12 most intense, 2θ = 10–90°, by angle)
two_theta  I (rel.)  (hkl)
30.20  22  0 2 2
37.01  100  3 1 3
37.56  18  4 2 1
37.84  19  0 0 4
41.12  19  1 3 2
41.37  87  3 3 0
52.08  14  6 2 2
56.71  16  0 4 3
57.31  15  3 3 4
63.66  14  0 2 6
72.58  33  6 4 3
78.81  12  6 2 6


Record 3
Structure and theoretical powder X-ray diffraction pattern of CoGe7N10 (a DFT-relaxed cell (GGA-PBE, the Materials Project); a wavelength of 1.5418 Å).
Peak positions follow from Bragg's law for the DFT cell and can differ from measured ones.

Structure:
Cell lengths 6.8474, 7.4468, 10.2867 Å; angles 90.00, 103.58, 90.00 degrees
Space group Pc (No. 7)
Inequivalent atoms, fractional coordinates:
Co  0.0000  0.1248  0.0000 (multiplicity 2)
Ge  0.1162  0.3960  0.8669 (multiplicity 2)
Ge  0.3035  0.3740  0.1726 (multiplicity 2)
Ge  0.3297  0.0167  0.8105 (multiplicity 2)
Ge  0.4935  0.3625  0.4758 (multiplicity 2)
Ge  0.5428  0.0190  0.1080 (multiplicity 2)
Ge  0.6554  0.3501  0.7820 (multiplicity 2)
Ge  0.8417  0.3800  0.1116 (multiplicity 2)
N  0.0805  0.4283  0.2361 (multiplicity 2)
N  0.1306  0.1497  0.8510 (multiplicity 2)
N  0.2901  0.1241  0.1463 (multiplicity 2)
N  0.2981  0.4879  0.0137 (multiplicity 2)
N  0.4462  0.1220  0.4577 (multiplicity 2)
N  0.5167  0.4456  0.3096 (multiplicity 2)
N  0.5330  0.1343  0.7515 (multiplicity 2)
N  0.7135  0.4018  0.6168 (multiplicity 2)
N  0.7757  0.1418  0.1093 (multiplicity 2)
N  0.8797  0.3569  0.9291 (multiplicity 2)

Peak list (12 most intense, 2θ = 10–90°, by angle)
two_theta  I (rel.)  (hkl)
13.30  43  1 0 0
14.83  67  0 1 1
18.52  100  1 1 -1
27.45  36  1 1 2
28.82  42  2 1 -1
29.37  49  0 1 3
31.00  51  2 1 -2
35.73  92  2 2 -1
36.18  57  0 3 0
37.34  65  1 1 -4
37.80  44  2 1 2
62.07  32  2 4 2


Record 4
Structure and theoretical powder X-ray diffraction pattern of Li8EuSn7 (a DFT-relaxed cell (GGA-PBE, the Materials Project); a wavelength of 1.5418 Å).
Peak positions follow from Bragg's law for the DFT cell and can differ from measured ones.

Structure:
Cell lengths 4.6076, 27.0264, 11.5648 Å; angles 90.00, 90.00, 90.00 degrees
Space group Cmcm (No. 63)
Inequivalent atoms, fractional coordinates:
Li  0.0000  0.0000  0.0000 (multiplicity 4)
Li  0.0000  0.0232  0.2500 (multiplicity 4)
Li  0.0000  0.1083  0.5181 (multiplicity 8)
Li  0.0000  0.2429  0.0944 (multiplicity 8)
Li  0.0000  0.4553  0.1249 (multiplicity 8)
Eu  0.0000  0.1418  0.2500 (multiplicity 4)
Sn  0.0000  0.0798  0.7500 (multiplicity 4)
Sn  0.0000  0.2635  0.7500 (multiplicity 4)
Sn  0.0000  0.3301  0.5452 (multiplicity 8)
Sn  0.0000  0.3450  0.2500 (multiplicity 4)
Sn  0.0000  0.4348  0.6206 (multiplicity 8)

Peak list (12 most intense, 2θ = 10–90°, by angle)
two_theta  I (rel.)  (hkl)
10.07  24  0 2 1
13.10  29  0 4 0
15.32  23  0 0 2
24.01  22  0 2 3
26.57  100  1 5 1
34.58  32  1 5 3
36.55  19  1 9 1
36.88  19  1 1 4
38.35  22  1 7 3
39.09  40  2 0 0
40.78  25  0 10 3
62.11  19  1 5 7